Starting from a DFT-relaxed cell (PBE+U, Alexandria), the PXRD pattern of TiV3O8 was calculated for Cu Kα (λ = 1.5418 Å).

Principal peaks in the range 10° ≤ 2θ ≤ 90°, sorted by position:
hkl	d/Å	2θ (°)	Rel. int.
2 0 0	6.240	14.2	45
2 0 -2	5.888	15.0	34
1 1 -1	3.610	24.7	100
4 0 0	3.120	28.6	54
2 0 -4	3.017	29.6	45
1 1 -3	2.706	33.1	21
6 0 0	2.080	43.5	29
4 0 -6	2.049	44.2	30
0 2 0	1.896	48.0	35
5 1 -7	1.594	57.9	26

```
data_TiV3O8
_space_group_name_H-M_alt 'C 1 c 1'
_space_group_IT_number 9
_cell_length_a 15.121
_cell_length_b 3.792
_cell_length_c 12.298
_cell_angle_alpha 90.00
_cell_angle_beta 124.38
_cell_angle_gamma 90.00
loop_
_space_group_symop_operation_xyz
'x,y,z'
'x,-y,z+1/2'
'x+1/2,y+1/2,z'
'x+1/2,-y+1/2,z+1/2'
loop_
_atom_site_label
_atom_site_type_symbol
_atom_site_fract_x
_atom_site_fract_y
_atom_site_fract_z
Ti1 Ti 0.000 0.244 0.000
V1 V 0.280 0.248 0.887
V2 V 0.291 0.254 0.198
V3 V 0.489 0.204 0.196
O1 O 0.140 0.250 0.086
O2 O 0.145 0.250 0.820
O3 O 0.288 0.247 0.736
O4 O 0.316 0.253 0.383
O5 O 0.329 0.247 0.081
O6 O 0.459 0.256 0.325
O7 O 0.468 0.245 0.015
O8 O 0.494 0.255 0.670
```